(1)
Diffraction record for Zr5Ge2. The powder XRD pattern is theoretical, not measured: it uses DFT lattice parameters and positions (PBE) and Cu Kα (λ = 1.5418 Å).
Intensities are scaled so that the largest is 100.

Crystal structure
```
data_Zr5Ge2
_chemical_formula_sum 'Zr20 Ge8'
_cell_length_a 14.4442
_cell_length_b 5.5796
_cell_length_c 7.4083
_cell_angle_alpha 90.00
_cell_angle_beta 95.47
_cell_angle_gamma 90.00
_symmetry_space_group_name_H-M 'C 1 2/c 1'
_symmetry_Int_Tables_number 15
loop_
_symmetry_equiv_pos_as_xyz
'x,y,z'
'-x,-y,-z'
'-x,y,-z+1/2'
'x,-y,z+1/2'
'x+1/2,y+1/2,z'
'-x+1/2,-y+1/2,-z'
'-x+1/2,y+1/2,-z+1/2'
'x+1/2,-y+1/2,z+1/2'
loop_
_atom_site_label
_atom_site_type_symbol
_atom_site_fract_x
_atom_site_fract_y
_atom_site_fract_z
Zr1 Zr 0.0000 0.1511 0.2500
Zr2 Zr 0.0923 0.3581 0.9286
Zr3 Zr 0.2289 0.0822 0.3173
Ge1 Ge 0.1033 0.1734 0.5777
```

Main lines, in order of falling intensity (10° ≤ 2θ ≤ 90°):
(hkl)	2θ/deg	Rel. int.
1 1 -3	40.02	100
5 1 -1	36.21	93
2 2 1	37.05	75
4 2 -1	42.10	68
0 2 1	34.37	63
3 1 2	35.92	62
3 1 -2	33.33	61
4 0 2	36.54	58
4 0 -2	33.10	56
5 1 1	38.23	50
2 0 2	28.17	46
1 1 3	41.18	41



(2)
Diffraction record for MgCuPtAu. The powder XRD pattern is theoretical, not measured: it uses DFT lattice parameters and positions (PBE) and Cu Kα (λ = 1.5418 Å).
Intensities are scaled so that the largest is 100.

Crystal structure
```
data_MgCuPtAu
_chemical_formula_sum 'Mg1 Cu1 Pt1 Au1'
_cell_length_a 3.7896
_cell_length_b 4.0092
_cell_length_c 4.0564
_cell_angle_alpha 90.00
_cell_angle_beta 90.00
_cell_angle_gamma 90.00
_symmetry_space_group_name_H-M 'P m m m'
_symmetry_Int_Tables_number 47
loop_
_symmetry_equiv_pos_as_xyz
'x,y,z'
'-x,-y,-z'
'-x,-y,z'
'x,y,-z'
'x,-y,-z'
'-x,y,z'
'-x,y,-z'
'x,-y,z'
loop_
_atom_site_label
_atom_site_type_symbol
_atom_site_fract_x
_atom_site_fract_y
_atom_site_fract_z
Mg1 Mg 0.0000 0.0000 0.0000
Cu1 Cu 0.0000 0.5000 0.5000
Pt1 Pt 0.5000 0.5000 0.0000
Au1 Au 0.5000 0.0000 0.5000
```

Main lines, in order of falling intensity (10° ≤ 2θ ≤ 90°):
(hkl)	2θ/deg	Rel. int.
1 1 1	39.55	100
1 0 0	23.48	35
0 1 1	31.37	34
0 0 2	44.68	18
0 2 0	45.23	17
2 0 0	48.02	14
1 1 3	78.86	13
1 3 1	79.66	13
2 1 1	58.48	12
3 1 1	83.75	12
0 2 2	65.46	11
2 2 2	85.17	11



(3)
Diffraction record for VZnPb2. The powder XRD pattern is theoretical, not measured: it uses DFT lattice parameters and positions (PBE) and Cu Kα (λ = 1.5418 Å).
Intensities are scaled so that the largest is 100.

Crystal structure
```
data_VZnPb2
_chemical_formula_sum 'V4 Zn4 Pb8'
_cell_length_a 7.8732
_cell_length_b 7.8732
_cell_length_c 6.2782
_cell_angle_alpha 90.00
_cell_angle_beta 90.00
_cell_angle_gamma 90.00
_symmetry_space_group_name_H-M 'I -4 2 d'
_symmetry_Int_Tables_number 122
_symmetry_space_group_name_Hall 'I -4 2bw'
loop_
_atom_site_label
_atom_site_type_symbol
_atom_site_fract_x
_atom_site_fract_y
_atom_site_fract_z
V1 V 0.0000 0.0000 0.0000
Zn1 Zn 0.0000 0.0000 0.5000
Pb1 Pb 0.2409 0.2500 0.6250
```

Main lines, in order of falling intensity (10° ≤ 2θ ≤ 90°):
(hkl)	2θ/deg	Rel. int.
1 1 2	32.75	100
2 2 0	32.16	81
3 1 2	46.56	76
2 0 0	22.59	54
4 0 0	46.12	30
5 1 2	67.62	25
2 0 4	63.85	23
4 2 4	82.30	22
3 3 2	57.71	20
5 3 2	76.86	17
6 2 0	76.53	13
4 2 0	51.94	13